1.
Diffraction record for Zn2Ni2Pt. The X-ray powder pattern is theoretical, not measured: it uses DFT lattice parameters and positions (GGA-PBE) and Cu Kα.

Crystal structure
```
data_Zn2Ni2Pt
_symmetry_space_group_name_H-M 'C 1 2/m 1'
_symmetry_Int_Tables_number 12
_cell_length_a 8.233
_cell_length_b 3.779
_cell_length_c 5.850
_cell_angle_alpha 90.00
_cell_angle_beta 134.42
_cell_angle_gamma 90.00
loop_
_symmetry_equiv_pos_as_xyz
'x,y,z'
'-x,-y,-z'
'-x,y,-z'
'x,-y,z'
'x+1/2,y+1/2,z'
'-x+1/2,-y+1/2,-z'
'-x+1/2,y+1/2,-z'
'x+1/2,-y+1/2,z'
loop_
_atom_site_label
_atom_site_type_symbol
_atom_site_fract_x
_atom_site_fract_y
_atom_site_fract_z
Zn1 Zn 0.089 0.000 0.288
Ni1 Ni 0.195 0.500 0.095
Pt1 Pt 0.000 0.500 0.500
```

Top 10 peaks for 2θ = 10–80°, in order of rising 2θ:
| 2θ (°) | d/Å | Rel. int. | (hkl) |
| --- | --- | --- | --- |
| 21.27 | 4.178 | 16 | 0 0 1 |
| 21.59 | 4.116 | 16 | 2 0 -1 |
| 28.09 | 3.176 | 37 | 1 1 -1 |
| 41.79 | 2.161 | 100 | 1 1 -2 |
| 42.07 | 2.148 | 100 | 3 1 -1 |
| 48.16 | 1.889 | 31 | 0 2 0 |
| 48.78 | 1.867 | 29 | 2 0 1 |
| 49.47 | 1.843 | 28 | 4 0 -3 |
| 70.98 | 1.328 | 18 | 2 2 1 |
| 71.52 | 1.319 | 18 | 4 2 -3 |

=====

2.
Diffraction record for K2PaCuTe5. The X-ray powder pattern is theoretical, not measured: it uses DFT lattice parameters and positions (GGA-PBE) and Cu Kα.

Crystal structure
```
data_K2PaCuTe5
_symmetry_space_group_name_H-M 'C m c 21'
_symmetry_Int_Tables_number 36
_cell_length_a 4.487
_cell_length_b 19.160
_cell_length_c 15.079
_cell_angle_alpha 90.00
_cell_angle_beta 90.00
_cell_angle_gamma 90.00
loop_
_symmetry_equiv_pos_as_xyz
'x,y,z'
'-x,-y,z+1/2'
'-x,y,z'
'x,-y,z+1/2'
'x+1/2,y+1/2,z'
'-x+1/2,-y+1/2,z+1/2'
'-x+1/2,y+1/2,z'
'x+1/2,-y+1/2,z+1/2'
loop_
_atom_site_label
_atom_site_type_symbol
_atom_site_fract_x
_atom_site_fract_y
_atom_site_fract_z
K1 K 0.000 0.130 0.000
K2 K 0.000 0.145 0.673
Pa1 Pa 0.000 0.140 0.329
Cu1 Cu 0.000 0.480 0.741
Te1 Te 0.000 0.012 0.826
Te2 Te 0.000 0.290 0.347
Te3 Te 0.000 0.349 0.690
Te4 Te 0.000 0.360 0.978
Te5 Te 0.000 0.492 0.070
```

Top 10 peaks for 2θ = 10–80°, in order of rising 2θ:
| 2θ (°) | d/Å | Rel. int. | (hkl) |
| --- | --- | --- | --- |
| 10.94 | 8.086 | 93 | 0 2 1 |
| 11.74 | 7.540 | 46 | 0 0 2 |
| 23.54 | 3.779 | 67 | 1 1 2 |
| 27.04 | 3.298 | 100 | 1 1 3 |
| 27.94 | 3.193 | 29 | 0 6 0 |
| 28.57 | 3.124 | 23 | 0 6 1 |
| 35.61 | 2.521 | 44 | 1 5 3 |
| 40.19 | 2.244 | 30 | 2 0 0 |
| 40.41 | 2.232 | 39 | 1 7 2 |
| 45.68 | 1.986 | 25 | 1 7 4 |

=====

3.
Diffraction record for Pr3Y3Ho2. The X-ray powder pattern is theoretical, not measured: it uses DFT lattice parameters and positions (GGA-PBE) and Cu Kα.

Crystal structure
```
data_Pr3Y3Ho2
_symmetry_space_group_name_H-M 'C 1 2/m 1'
_symmetry_Int_Tables_number 12
_cell_length_a 16.511
_cell_length_b 5.752
_cell_length_c 6.053
_cell_angle_alpha 90.00
_cell_angle_beta 109.80
_cell_angle_gamma 90.00
loop_
_symmetry_equiv_pos_as_xyz
'x,y,z'
'-x,-y,-z'
'-x,y,-z'
'x,-y,z'
'x+1/2,y+1/2,z'
'-x+1/2,-y+1/2,-z'
'-x+1/2,y+1/2,-z'
'x+1/2,-y+1/2,z'
loop_
_atom_site_label
_atom_site_type_symbol
_atom_site_fract_x
_atom_site_fract_y
_atom_site_fract_z
Pr1 Pr 0.000 0.000 0.000
Pr2 Pr 0.136 0.000 0.697
Y1 Y 0.000 0.500 0.500
Y2 Y 0.134 0.500 0.083
Ho1 Ho 0.250 0.000 0.318
```

Top 10 peaks for 2θ = 10–80°, in order of rising 2θ:
| 2θ (°) | d/Å | Rel. int. | (hkl) |
| --- | --- | --- | --- |
| 22.26 | 3.993 | 10 | 2 0 1 |
| 29.53 | 3.025 | 26 | 2 0 -2 |
| 31.13 | 2.873 | 100 | 0 2 0 |
| 31.81 | 2.813 | 63 | 5 1 -1 |
| 34.13 | 2.627 | 18 | 3 1 -2 |
| 43.41 | 2.084 | 18 | 2 2 -2 |
| 46.78 | 1.942 | 11 | 8 0 0 |
| 55.36 | 1.660 | 12 | 3 3 1 |
| 55.78 | 1.648 | 13 | 5 3 -1 |
| 57.25 | 1.609 | 16 | 8 2 0 |

=====

4.
Diffraction record for TlGaSn. The X-ray powder pattern is theoretical, not measured: it uses DFT lattice parameters and positions (GGA-PBE) and Cu Kα.

Crystal structure
```
data_TlGaSn
_symmetry_space_group_name_H-M 'C 1 2 1'
_symmetry_Int_Tables_number 5
_cell_length_a 9.623
_cell_length_b 8.040
_cell_length_c 4.773
_cell_angle_alpha 90.00
_cell_angle_beta 118.82
_cell_angle_gamma 90.00
loop_
_symmetry_equiv_pos_as_xyz
'x,y,z'
'-x,y,-z'
'x+1/2,y+1/2,z'
'-x+1/2,y+1/2,-z'
loop_
_atom_site_label
_atom_site_type_symbol
_atom_site_fract_x
_atom_site_fract_y
_atom_site_fract_z
Tl1 Tl 0.000 0.000 0.000
Tl2 Tl 0.000 0.336 0.500
Ga1 Ga 0.163 0.571 0.164
Sn1 Sn 0.184 0.760 0.685
```

Top 10 peaks for 2θ = 10–80°, in order of rising 2θ:
| 2θ (°) | d/Å | Rel. int. | (hkl) |
| --- | --- | --- | --- |
| 30.18 | 2.961 | 98 | 1 1 1 |
| 30.61 | 2.921 | 93 | 3 1 -1 |
| 30.73 | 2.909 | 38 | 2 2 0 |
| 30.85 | 2.898 | 99 | 0 2 1 |
| 31.06 | 2.879 | 100 | 2 2 -1 |
| 33.79 | 2.653 | 82 | 3 1 0 |
| 35.14 | 2.554 | 37 | 1 3 0 |
| 37.70 | 2.386 | 73 | 2 0 -2 |
| 38.53 | 2.337 | 34 | 1 3 -1 |
| 63.18 | 1.472 | 31 | 6 2 -1 |

=====

5.
Diffraction record for SrBeCdO3. The X-ray powder pattern is theoretical, not measured: it uses DFT lattice parameters and positions (GGA-PBE) and Cu Kα.

Crystal structure
```
data_SrBeCdO3
_symmetry_space_group_name_H-M 'P -1'
_symmetry_Int_Tables_number 2
_cell_length_a 5.464
_cell_length_b 5.620
_cell_length_c 7.274
_cell_angle_alpha 76.42
_cell_angle_beta 77.57
_cell_angle_gamma 62.09
loop_
_symmetry_equiv_pos_as_xyz
'x,y,z'
'-x,-y,-z'
loop_
_atom_site_label
_atom_site_type_symbol
_atom_site_fract_x
_atom_site_fract_y
_atom_site_fract_z
Sr1 Sr 0.111 0.189 0.122
Be1 Be 0.392 0.527 0.222
Cd1 Cd 0.277 0.222 0.627
O1 O 0.096 0.757 0.184
O2 O 0.356 0.402 0.837
O3 O 0.410 0.236 0.322
```

Top 10 peaks for 2θ = 10–80°, in order of rising 2θ:
| 2θ (°) | d/Å | Rel. int. | (hkl) |
| --- | --- | --- | --- |
| 19.38 | 4.580 | 100 | 1 1 0 |
| 21.13 | 4.205 | 45 | 1 0 1 |
| 25.87 | 3.444 | 37 | 1 1 -1 |
| 28.89 | 3.090 | 45 | 0 1 2 |
| 29.66 | 3.012 | 42 | 1 0 2 |
| 31.31 | 2.857 | 71 | 1 -1 0 |
| 33.23 | 2.696 | 42 | 2 1 1 |
| 33.45 | 2.679 | 42 | 1 0 -2 |
| 33.64 | 2.664 | 44 | 0 1 -2 |
| 36.61 | 2.455 | 56 | 0 2 0 |

=====

6.
Diffraction record for ErHgF3. The X-ray powder pattern is theoretical, not measured: it uses DFT lattice parameters and positions (GGA-PBE) and Cu Kα.

Crystal structure
```
data_ErHgF3
_symmetry_space_group_name_H-M 'R -3'
_symmetry_Int_Tables_number 148
_symmetry_space_group_name_Hall '-R 3'
_cell_length_a 6.1076
_cell_length_b 6.1076
_cell_length_c 25.2365
_cell_angle_alpha 90.00
_cell_angle_beta 90.00
_cell_angle_gamma 120.00
loop_
_atom_site_label
_atom_site_type_symbol
_atom_site_fract_x
_atom_site_fract_y
_atom_site_fract_z
Er1 Er 0.0000 0.0000 0.1678
Hg1 Hg 0.0000 0.0000 0.3432
F1 F 0.0032 0.6014 0.5447
```

Top 10 peaks for 2θ = 10–80°, in order of rising 2θ:
| 2θ (°) | d/Å | Rel. int. | (hkl) |
| --- | --- | --- | --- |
| 18.19 | 4.878 | 65 | 0 1 2 |
| 21.12 | 4.206 | 60 | 0 0 6 |
| 21.93 | 4.053 | 70 | 1 0 4 |
| 29.24 | 3.054 | 79 | 1 1 0 |
| 36.36 | 2.471 | 100 | 1 1 6 |
| 39.57 | 2.278 | 18 | 1 0 10 |
| 51.86 | 1.763 | 22 | 3 0 0 |
| 52.86 | 1.732 | 34 | 2 -1 12 |
| 56.60 | 1.626 | 27 | 0 3 6 |
| 64.98 | 1.435 | 18 | 4 -2 6 |